For Li4MnFe3P4O16, a crystal structure in Alexandria, relaxed with PBE+U gives the simulated powder diffraction line list in this record (copper Kα).
No peak broadening, texture or thermal motion is included.

The 12 most intense peaks (2θ = 10–90°), in order of falling intensity:
- 2θ = 35.2°, I 100.0, (2 0 3)
- 2θ = 25.3°, I 82.3, (2 0 1)
- 2θ = 29.4°, I 74.5, (2 -2 0)
- 2θ = 20.5°, I 57.8, (1 1 -1)
- 2θ = 51.9°, I 35.4, (4 0 2)
- 2θ = 17.0°, I 31.3, (0 0 2)
- 2θ = 36.1°, I 28.8, (-3 1 1)
- 2θ = 31.9°, I 26.5, (1 1 -3)
- 2θ = 56.0°, I 23.8, (4 -2 3)
- 2θ = 37.5°, I 19.6, (-1 1 4)
- 2θ = 41.7°, I 19.4, (2 2 2)
- 2θ = 22.5°, I 18.9, (1 -1 2)

```
56
Lattice="7.7188 0.0000 0.0000 -1.8652 7.4904 0.0000 -0.0044 -0.0040 10.4261" Properties=species:S:1:pos:R:3 pbc="T T T"
Li 0.0000 0.0000 0.0000
Li 6.7846 3.7371 5.1988
Li 1.4672 1.8515 5.2035
Li 0.5328 5.5954 10.4189
Li 2.9299 3.7215 10.4227
Li 2.0008 7.4684 5.2005
Li 5.3366 1.8557 10.4245
Li 4.4053 5.6009 5.1987
Mn -0.7281 6.4531 2.8898
Mn 0.2098 2.7122 2.3124
Fe 2.7369 1.0120 8.1317
Fe 1.8062 4.7579 7.4900
Fe 4.0605 2.6963 2.9218
Fe 3.1271 6.4420 2.2719
Fe 6.6025 1.0162 7.4854
Fe 5.6693 4.7618 8.1371
P -0.4226 6.8418 6.1701
P 0.5096 3.0984 9.4474
P 2.4199 0.6120 0.9681
P 1.4885 4.3585 4.2290
P 4.3701 3.1004 6.1884
P 3.4362 6.8461 9.4328
P 6.2851 0.6037 4.2206
P 5.3551 4.3503 0.9806
O -0.4378 1.8885 9.4121
O -1.3691 5.6317 6.2068
O 0.8650 0.6155 6.9084
O -0.0693 4.3619 8.7077
O 1.0499 0.8579 1.7046
O 0.1171 4.6087 3.4962
O -0.0661 7.3010 4.7262
O 0.8733 3.5627 0.4620
O 2.0570 0.1337 9.9578
O 1.1312 3.8785 5.6631
O 1.8733 2.8372 8.7072
O 0.9429 6.5825 6.9066
O 2.0781 3.1063 3.4738
O 1.1468 6.8481 1.7161
O 3.3606 1.8256 0.9940
O 2.4296 5.5711 4.2035
O 3.4238 1.8887 6.2079
O 2.4903 5.6342 9.4118
O 4.7158 0.6142 8.6939
O 3.7856 4.3584 6.9290
O 4.9223 0.8699 3.4813
O 3.9910 4.6166 1.7176
O 4.7357 3.5681 4.7516
O 3.8068 7.3160 0.4440
O 5.9197 0.1522 5.6617
O 4.9874 3.9017 9.9628
O 5.7338 2.8401 6.9282
O 4.8000 6.5872 8.6921
O 5.9265 3.0786 1.7027
O 4.9943 6.8254 3.4936
O 7.2358 1.8137 4.1845
O 6.3065 5.5614 1.0234
```